Diffraction record for Er2Ni12P3Rh. The powder X-ray diffraction pattern is simulated, not measured: it uses the PBE geometry in Alexandria and Cu Kα X-rays.
Peak positions follow from Bragg's law for the DFT cell and can differ from measured ones.

Structure:
Cell: 8.4793 8.4793 11.5902 Å, 90.00 90.00 120.00°
Space group R-3m (No. 166, hexagonal axes)
Symmetry-distinct sites (fractional):
Er: 0.0000 0.0000 0.2075 (multiplicity 6)
Ni: 0.0011 0.5005 0.8123 (multiplicity 18)
Ni: 0.0165 0.5082 0.6107 (multiplicity 18)
P: 0.0000 0.5000 0.0000 (multiplicity 9)
Rh: 0.0000 0.0000 0.5000 (multiplicity 3)

Main lines, by angle (2θ from 10° to 80°):
(0 0 3), 2θ = 23.02°, I 18
(2 0 2), 2θ = 28.78°, I 15
(1 1 3), 2θ = 31.32°, I 28
(1 0 4), 2θ = 33.24°, I 15
(2 2 0), 2θ = 42.65°, I 100
(2 1 4), 2θ = 45.24°, I 14
(2 0 5), 2θ = 46.32°, I 50
(2 2 3), 2θ = 49.02°, I 15
(0 4 5), 2θ = 64.78°, I 17
(6 0 0), 2θ = 78.09°, I 15

=====

Diffraction record for Fe2Ir15Rh2. The powder X-ray diffraction pattern is simulated, not measured: it uses the PBE geometry in Alexandria and Cu Kα X-rays.
Peak positions follow from Bragg's law for the DFT cell and can differ from measured ones.

Structure:
Cell: 8.8469 8.8469 13.4573 Å, 90.00 90.00 120.00°
Space group R-3m (No. 166, hexagonal axes)
Symmetry-distinct sites (fractional):
Fe: 0.0000 0.0000 0.0922 (multiplicity 6)
Ir: 0.0000 0.3035 0.0000 (multiplicity 18)
Ir: 0.0000 0.5000 0.5000 (multiplicity 9)
Ir: 0.0041 0.5020 0.1472 (multiplicity 18)
Rh: 0.0000 0.0000 0.2785 (multiplicity 6)

Main lines, by angle (2θ from 10° to 80°):
(1 1 0), 2θ = 20.07°, I 60
(0 0 6), 2θ = 40.21°, I 31
(0 3 3), 2θ = 40.65°, I 91
(2 2 0), 2θ = 40.80°, I 38
(2 0 5), 2θ = 40.98°, I 22
(1 1 6), 2θ = 45.33°, I 37
(2 2 3), 2θ = 45.74°, I 100
(3 3 3), 2θ = 66.78°, I 16
(6 0 0), 2θ = 74.27°, I 21
(2 2 9), 2θ = 76.98°, I 17

=====

Diffraction record for K3Nd. The powder X-ray diffraction pattern is simulated, not measured: it uses the PBE geometry in Alexandria and Cu Kα X-rays.
Peak positions follow from Bragg's law for the DFT cell and can differ from measured ones.

Structure:
Cell: 5.828 5.828 13.329 Å, 90.00 90.00 90.00°
Space group I4/mmm (No. 139)
Symmetry-distinct sites (fractional):
K: 0.000 0.000 0.000 (multiplicity 2)
K: 0.000 0.500 0.250 (multiplicity 4)
Nd: 0.000 0.000 0.500 (multiplicity 2)

Main lines, by angle (2θ from 10° to 80°):
(0 0 2), 2θ = 13.28°, I 16
(1 0 1), 2θ = 16.60°, I 38
(1 0 3), 2θ = 25.20°, I 15
(1 1 2), 2θ = 25.41°, I 100
(0 0 4), 2θ = 26.75°, I 22
(2 0 0), 2θ = 30.68°, I 30
(2 1 1), 2θ = 35.08°, I 13
(2 0 4), 2θ = 41.15°, I 26
(1 1 6), 2θ = 46.44°, I 18
(3 1 2), 2θ = 51.44°, I 26

=====

Diffraction record for Ta2GaNi6. The powder X-ray diffraction pattern is simulated, not measured: it uses the PBE geometry in Alexandria and Cu Kα X-rays.
Peak positions follow from Bragg's law for the DFT cell and can differ from measured ones.

Structure:
Cell: 4.9644 4.9644 5.4138 Å, 90.00 90.00 120.00°
Space group P-3m1 (No. 164)
Symmetry-distinct sites (fractional):
Ta: 0.3333 0.6667 0.1470 (multiplicity 2)
Ga: 0.0000 0.0000 0.0000 (multiplicity 1)
Ni: 0.1756 0.3512 0.6735 (multiplicity 6)

Main lines, by angle (2θ from 10° to 80°):
(1 0 1), 2θ = 26.47°, I 29
(1 1 0), 2θ = 36.19°, I 30
(0 1 2), 2θ = 39.33°, I 88
(1 1 1), 2θ = 39.96°, I 59
(2 0 0), 2θ = 42.03°, I 19
(2 0 1), 2θ = 45.39°, I 100
(0 1 3), 2θ = 55.20°, I 18
(1 1 3), 2θ = 63.76°, I 18
(1 2 2), 2θ = 67.19°, I 29
(2 2 0), 2θ = 76.80°, I 22

=====

Diffraction record for SrLi2Mg3. The powder X-ray diffraction pattern is simulated, not measured: it uses the PBE geometry in Alexandria and Cu Kα X-rays.
Peak positions follow from Bragg's law for the DFT cell and can differ from measured ones.

Structure:
Cell: 11.185 9.758 5.957 Å, 90.00 90.00 90.00°
Space group Cmcm (No. 63)
Symmetry-distinct sites (fractional):
Sr: 0.000 0.162 0.250 (multiplicity 4)
Li: 0.227 0.500 0.000 (multiplicity 8)
Mg: 0.000 0.463 0.750 (multiplicity 4)
Mg: 0.185 0.233 0.750 (multiplicity 8)

Main lines, by angle (2θ from 10° to 80°):
(2 0 0), 2θ = 15.85°, I 28
(1 1 1), 2θ = 19.17°, I 37
(0 2 1), 2θ = 23.57°, I 32
(1 3 0), 2θ = 28.55°, I 100
(3 1 1), 2θ = 29.71°, I 77
(0 0 2), 2θ = 30.00°, I 33
(4 0 0), 2θ = 32.01°, I 16
(4 2 1), 2θ = 40.13°, I 20
(1 3 2), 2θ = 41.91°, I 27
(1 5 1), 2θ = 49.84°, I 19

=====

Diffraction record for SmY14Tm. The powder X-ray diffraction pattern is simulated, not measured: it uses the PBE geometry in Alexandria and Cu Kα X-rays.
Peak positions follow from Bragg's law for the DFT cell and can differ from measured ones.

Structure:
Cell: 7.142 7.142 10.070 Å, 90.00 90.00 90.00°
Space group P4/mmm (No. 123)
Symmetry-distinct sites (fractional):
Sm: 0.000 0.000 0.000 (multiplicity 1)
Y: 0.000 0.000 0.500 (multiplicity 1)
Y: 0.000 0.500 0.000 (multiplicity 2)
Y: 0.000 0.500 0.500 (multiplicity 2)
Y: 0.251 0.251 0.249 (multiplicity 8)
Y: 0.500 0.500 0.500 (multiplicity 1)
Tm: 0.500 0.500 0.000 (multiplicity 1)

Main lines, by angle (2θ from 10° to 80°):
(1 1 0), 2θ = 17.58°, I 2
(1 1 1), 2θ = 19.67°, I 2
(2 0 2), 2θ = 30.69°, I 100
(2 2 0), 2θ = 35.55°, I 33
(0 0 4), 2θ = 35.66°, I 17
(4 0 0), 2θ = 51.21°, I 35
(4 2 2), 2θ = 60.85°, I 27
(2 0 6), 2θ = 61.00°, I 13
(4 0 4), 2θ = 63.92°, I 12
(4 4 0), 2θ = 75.26°, I 4